Entry 1:
This entry pairs a crystal structure of InIrSe3 with its theoretical powder XRD pattern. Radiation: Cu Kα X-rays. Structure: a PBE-relaxed structure.
Lines closer than 0.1° are merged.

Peak list (10 most intense, 10 to 80 degrees two-theta, in order of rising 2θ)
- 2θ 13.44, d 6.590, intensity 87.3
- 2θ 17.81, d 4.981, intensity 16.4
- 2θ 23.71, d 3.753, intensity 11.7
- 2θ 26.78, d 3.329, intensity 29.2
- 2θ 30.07, d 2.972, intensity 71.4
- 2θ 38.44, d 2.342, intensity 100.0
- 2θ 47.29, d 1.922, intensity 44.8
- 2θ 49.39, d 1.845, intensity 18.7
- 2θ 49.72, d 1.834, intensity 24.8
- 2θ 62.51, d 1.486, intensity 21.5

Crystal structure
a = 7.6297 Å, b = 7.6297 Å, c = 7.6297 Å
α = 51.74°, β = 51.74°, γ = 51.74°
Atoms (fractional coordinates):
In (0.0000, 0.0000, 0.0000)
In (0.1716, 0.1716, 0.1716)
Ir (0.3555, 0.3555, 0.3555)
Ir (0.6810, 0.6810, 0.6810)
Se (0.0753, 0.4347, 0.7396)
Se (0.3213, 0.9591, 0.5616)
Se (0.4347, 0.7396, 0.0753)
Se (0.5616, 0.3213, 0.9591)
Se (0.7396, 0.0753, 0.4347)
Se (0.9591, 0.5616, 0.3213)

Entry 2:
This entry pairs a crystal structure of Rb2Ba2Ca with its theoretical powder XRD pattern. Radiation: Cu Kα X-rays. Structure: a PBE-relaxed structure.
Lines closer than 0.1° are merged.

Peak list (10 most intense, 10 to 80 degrees two-theta, in order of rising 2θ)
- 2θ 16.80, d 5.277, intensity 67.4
- 2θ 22.20, d 4.004, intensity 41.1
- 2θ 24.42, d 3.644, intensity 100.0
- 2θ 24.79, d 3.592, intensity 63.3
- 2θ 27.65, d 3.226, intensity 46.2
- 2θ 30.86, d 2.898, intensity 31.2
- 2θ 33.12, d 2.704, intensity 44.2
- 2θ 40.24, d 2.241, intensity 34.7
- 2θ 41.81, d 2.161, intensity 30.8
- 2θ 44.54, d 2.034, intensity 23.0

Crystal structure
a = 12.6053 Å, b = 12.6053 Å, c = 12.6053 Å
α = 155.22°, β = 155.22°, γ = 35.33°
Atoms (fractional coordinates):
Rb (0.2500, 0.7500, 0.5000)
Rb (0.7500, 0.2500, 0.5000)
Ba (0.0852, 0.0852, 0.0000)
Ba (0.9148, 0.9148, 0.0000)
Ca (0.5000, 0.5000, 0.0000)